Computed powder diffractogram of K3Pt2Se4 for λ = 1.5418 Å (Cu Kα), from DFT lattice parameters and positions (GGA-PBE).
Neutral-atom scattering factors, no anomalous dispersion.

Most intense lines, 10 to 90 degrees two-theta, low angle first:
Position (°2θ), Rel. int., h k l
16.0, 100, 1 0 1
18.9, 53, 1 2 1
26.7, 39, 2 0 0
28.6, 27, 2 2 0
33.9, 43, 1 5 2
42.4, 27, 1 7 2
45.5, 26, 2 0 4
46.0, 28, 2 7 1

```
data_K3Pt2Se4
_chemical_formula_sum 'K12 Pt8 Se16'
_space_group_name_H-M_alt 'I m m a'
_space_group_IT_number 74
_space_group_name_Hall '-I 2b 2'
_cell_length_a 6.669
_cell_length_b 17.692
_cell_length_c 9.936
_cell_angle_alpha 90.00
_cell_angle_beta 90.00
_cell_angle_gamma 90.00
loop_
_atom_site_label
_atom_site_type_symbol
_atom_site_fract_x
_atom_site_fract_y
_atom_site_fract_z
K1 K 0.000 0.096 0.052
K2 K 0.000 0.250 0.599
Pt1 Pt 0.000 0.039 0.616
Se1 Se 0.000 0.101 0.387
Se2 Se 0.250 0.112 0.750
```